The following is a theoretical XRD peak list of Rb3V5O14. It was derived from a crystal structure in Alexandria, relaxed with PBE+U, using CuKα.
No peak broadening, texture or thermal motion is included.

Largest 12 diffraction maxima, in order of falling intensity, 2θ from 10° to 80°:
2θ = 25.73°, intensity 100, (2 -1 1)
2θ = 28.31°, intensity 29, (2 0 1)
2θ = 31.04°, intensity 26, (2 1 0)
2θ = 31.90°, intensity 19, (0 0 2)
2θ = 35.32°, intensity 15, (3 0 0)
2θ = 45.11°, intensity 13, (2 1 2)
2θ = 57.81°, intensity 12, (5 -1 1)
2θ = 42.77°, intensity 12, (3 1 0)
2θ = 53.22°, intensity 12, (2 -1 3)
2θ = 55.00°, intensity 10, (5 -2 1)
2θ = 35.01°, intensity 10, (2 1 1)
2θ = 38.04°, intensity 10, (1 1 2)

Structural model:
```
Rb3V5O14
1.0
8.802 0.000 0.000
-4.401 7.623 0.000
0.000 0.000 5.610
Rb V O
3 5 14
Cartesian
-2.708 4.690 0.000
1.693 2.933 0.000
5.415 0.000 0.000
-1.008 1.746 2.724
2.016 0.000 2.724
0.000 5.082 2.666
4.401 2.541 2.666
3.393 5.878 2.724
-1.098 1.902 4.351
-3.660 6.340 2.370
0.741 1.283 2.370
-0.542 3.511 2.053
2.196 0.000 4.351
-1.089 6.337 2.053
0.000 5.082 4.328
3.312 1.286 2.053
1.632 5.398 2.053
4.401 2.541 4.328
3.859 4.112 2.053
3.303 5.721 4.351
6.033 2.225 2.053
7.321 0.000 2.370
```